Structure and simulated X-ray diffraction stick pattern of Li4V3NiP4O16 (a structure optimized by DFT (PBE+U); CuKα).
Intensities are scaled so that the largest is 100.

The 6 most intense peaks (15 to 90 degrees two-theta), sorted by position:
2θ (°), I/Imax
20.5, 52
25.3, 71
29.4, 67
35.2, 100
51.9, 34
61.0, 28

Structure:
a = 4.7566 Å, b = 6.0746 Å, c = 10.4293 Å
α = 90.00°, β = 90.09°, γ = 90.00°
Positions (direct):
Li1 0.0000 0.2494 0.0000
Li2 0.0000 0.7506 0.0000
Li3 0.4994 0.2508 0.5031
Li4 0.4994 0.7492 0.5031
V1 0.0149 0.5000 0.2761
V2 0.5161 0.0000 0.2247
V3 0.9823 0.0000 0.7265
Ni1 0.4836 0.5000 0.7775
P1 0.0864 0.0000 0.4094
P2 0.4177 0.0000 0.9070
P3 0.5837 0.5000 0.0898
P4 0.9114 0.5000 0.5975
O1 0.2081 0.0000 0.5472
O2 0.2229 0.2034 0.3392
O3 0.2229 0.7966 0.3392
O4 0.2348 0.5000 0.6041
O5 0.2609 0.5000 0.0959
O6 0.2849 0.2053 0.8364
O7 0.2849 0.7947 0.8364
O8 0.2904 0.0000 0.0444
O9 0.7016 0.5000 0.9510
O10 0.7220 0.2972 0.1601
O11 0.7220 0.7028 0.1601
O12 0.7403 0.0000 0.9064
O13 0.7633 0.0000 0.4051
O14 0.7704 0.2983 0.6669
O15 0.7704 0.7017 0.6669
O16 0.7944 0.5000 0.4580